SrZrTl2F8: simulated X-ray diffraction stick pattern (Cu Ka), based on a cell relaxed with PBE.
Lines closer than 0.1° are merged.

Top 6 peaks for 10 to 90 degrees two-theta, by angle:
| (hkl) | two_theta | d_spacing | Rel. int. |
| --- | --- | --- | --- |
| 0 2 1 | 25.75 | 3.459 | 80 |
| 1 0 1 | 26.48 | 3.366 | 100 |
| 1 2 0 | 31.95 | 2.801 | 25 |
| 1 2 1 | 34.71 | 2.585 | 22 |
| 1 2 -2 | 41.99 | 2.152 | 61 |
| 1 4 1 | 52.91 | 1.730 | 30 |

Structure:
Unit cell a=3.892 b=8.070 c=6.720 alpha=90.00 beta=90.09 gamma=90.00
Space group P2/m (No. 10)
Asymmetric unit:
Sr 0.000 0.000 0.000 (multiplicity 1)
Zr 0.000 0.500 0.000 (multiplicity 1)
Tl 0.500 0.248 0.500 (multiplicity 2)
F 0.001 0.293 0.812 (multiplicity 4)
F 0.499 0.000 0.774 (multiplicity 2)
F 0.499 0.500 0.172 (multiplicity 2)

=====

SrTmF4: simulated X-ray diffraction stick pattern (Cu Ka), based on a cell relaxed with PBE.
Lines closer than 0.1° are merged.

Top 6 peaks for 10 to 90 degrees two-theta, by angle:
| (hkl) | two_theta | d_spacing | Rel. int. |
| --- | --- | --- | --- |
| 2 0 -2 | 23.44 | 3.795 | 97 |
| 0 2 0 | 23.98 | 3.711 | 100 |
| 1 1 1 | 28.75 | 3.105 | 93 |
| 3 1 -1 | 28.86 | 3.094 | 96 |
| 2 2 -2 | 33.78 | 2.653 | 48 |
| 1 3 1 | 45.27 | 2.003 | 73 |

Structure:
Unit cell a=10.740 b=7.422 c=7.590 alpha=90.00 beta=134.66 gamma=90.00
Space group Cm (No. 8)
Asymmetric unit:
Sr 0.000 0.000 0.000 (multiplicity 2)
Sr 0.241 0.500 0.273 (multiplicity 2)
Tm 0.007 0.500 0.542 (multiplicity 2)
Tm 0.225 0.000 0.771 (multiplicity 2)
F 0.032 0.205 0.484 (multiplicity 4)
F 0.212 0.500 0.559 (multiplicity 2)
F 0.229 0.500 0.937 (multiplicity 2)
F 0.273 0.000 0.479 (multiplicity 2)
F 0.307 0.000 0.143 (multiplicity 2)
F 0.453 0.180 0.994 (multiplicity 4)